# Ba4Bi7Pb5
Calculated powder XRD pattern, copper Kα. Input: the PBE geometry in Alexandria.

Structural model:
```
data_Ba4Bi7Pb5
_symmetry_space_group_name_H-M 'P 1'
_symmetry_Int_Tables_number 1
_cell_length_a 12.692
_cell_length_b 12.692
_cell_length_c 12.692
_cell_angle_alpha 147.52
_cell_angle_beta 147.52
_cell_angle_gamma 46.60
loop_
_symmetry_equiv_pos_as_xyz
'x,y,z'
loop_
_atom_site_label
_atom_site_type_symbol
_atom_site_fract_x
_atom_site_fract_y
_atom_site_fract_z
Ba1 Ba 0.145 0.145 0.520
Ba2 Ba 0.375 0.855 0.000
Ba3 Ba 0.625 0.625 0.480
Ba4 Ba 0.855 0.375 0.000
Bi1 Bi 0.000 0.500 0.500
Bi2 Bi 0.086 0.614 0.000
Bi3 Bi 0.386 0.386 0.471
Bi4 Bi 0.500 0.000 0.500
Bi5 Bi 0.500 0.500 0.000
Bi6 Bi 0.614 0.086 0.000
Bi7 Bi 0.914 0.914 0.529
Pb1 Pb 0.000 0.000 0.000
Pb2 Pb 0.250 0.250 0.000
Pb3 Pb 0.250 0.750 0.500
Pb4 Pb 0.750 0.250 0.500
Pb5 Pb 0.750 0.750 0.000
```

Largest 10 diffraction maxima, low angle first, 2θ = 10–90°:
| 2θ (°) | d [Å] | I_rel |
| --- | --- | --- |
| 23.39 | 3.804 | 8 |
| 29.46 | 3.032 | 100 |
| 30.68 | 2.914 | 16 |
| 35.62 | 2.520 | 8 |
| 35.78 | 2.510 | 34 |
| 47.83 | 1.902 | 19 |
| 51.49 | 1.775 | 12 |
| 53.79 | 1.704 | 8 |
| 60.44 | 1.532 | 26 |
| 61.14 | 1.516 | 9 |